For CsCrAg2F6, a DFT-relaxed cell (PBE+U, Alexandria) gives the simulated XRD peak list in this record (copper Kα).
Peak positions follow from Bragg's law for the DFT cell and can differ from measured ones.

Structure:
Cell: 6.027 9.066 7.659 Å, 90.00 90.00 90.00°
Sites, in units of the cell vectors:
Cs 0.250 0.250 0.143
Cs 0.750 0.750 0.857
Cr 0.250 0.750 0.358
Cr 0.750 0.250 0.642
Ag 0.250 0.084 0.626
Ag 0.250 0.416 0.626
Ag 0.750 0.584 0.374
Ag 0.750 0.916 0.374
F 0.005 0.750 0.189
F 0.026 0.750 0.541
F 0.250 0.535 0.354
F 0.250 0.965 0.354
F 0.474 0.750 0.541
F 0.495 0.750 0.189
F 0.505 0.250 0.811
F 0.526 0.250 0.459
F 0.750 0.035 0.646
F 0.750 0.465 0.646
F 0.974 0.250 0.459
F 0.995 0.250 0.811

Principal peaks in the range 10° ≤ 2θ ≤ 90°, most intense first:
d [Å]  two_theta  I/Imax  hkl
7.659  11.6  100  0 0 1
2.291  39.3  90  2 1 2
5.019  17.7  83  1 1 0
3.528  25.2  79  0 1 2
3.275  27.2  77  1 2 1
2.548  35.2  73  1 3 1
3.232  27.6  68  1 0 2
3.013  29.6  56  2 0 0
2.809  31.9  39  0 3 1
2.055  44.1  38  2 3 1